No. 1
Starting from DFT lattice parameters and positions (PBE+U), the powder diffraction line list of Na2CuNiO4 was calculated for a wavelength of 1.5418 Å.
Kinematic intensities with the Lorentz-polarization factor, no thermal factor.

Main lines, by intensity (2θ = 10–90°):
- 21.1 deg, I = 1000, hkl 1 1 0
- 45.3 deg, I = 989, hkl 2 0 2
- 30.1 deg, I = 878, hkl 2 0 0
- 43.1 deg, I = 498, hkl 2 2 0
- 55.3 deg, I = 360, hkl 2 2 2
- 59.9 deg, I = 250, hkl 3 1 2
- 72.5 deg, I = 229, hkl 4 0 2
- 70.9 deg, I = 204, hkl 4 2 0
- 80.5 deg, I = 203, hkl 4 2 2
- 37.7 deg, I = 197, hkl 2 1 1

Structural model:
a b c (Å): 5.943 5.943 5.424
angles (deg): 90.00 90.00 90.00
Element x y z (fractional)
Na 0.000 0.500 0.000
Na 0.000 0.500 0.500
Na 0.500 0.000 0.000
Na 0.500 0.000 0.500
Cu 0.000 0.000 0.000
Cu 0.500 0.500 0.500
Ni 0.000 0.000 0.500
Ni 0.500 0.500 0.000
O 0.159 0.159 0.745
O 0.159 0.841 0.255
O 0.341 0.341 0.245
O 0.341 0.659 0.755
O 0.659 0.341 0.755
O 0.659 0.659 0.245
O 0.841 0.159 0.255
O 0.841 0.841 0.745

No. 2
Starting from DFT lattice parameters and positions (PBE+U), the powder diffraction line list of NaCuNiO2 was calculated for a wavelength of 1.5418 Å.
Kinematic intensities with the Lorentz-polarization factor, no thermal factor.

Main lines, by intensity (2θ = 10–90°):
- 16.6 deg, I = 1000, hkl 1 0 0
- 37.3 deg, I = 307, hkl 0 1 2
- 33.5 deg, I = 228, hkl 2 0 0
- 42.2 deg, I = 222, hkl 1 2 0
- 38.8 deg, I = 218, hkl 1 1 -2
- 47.2 deg, I = 211, hkl 2 1 -2
- 43.2 deg, I = 166, hkl 1 1 2
- 31.3 deg, I = 147, hkl 1 1 1
- 54.6 deg, I = 134, hkl 2 1 2
- 51.9 deg, I = 107, hkl 2 2 0

Structural model:
a b c (Å): 5.417 4.679 5.707
angles (deg): 90.00 99.14 90.00
Element x y z (fractional)
Na 0.000 0.173 0.250
Na 0.000 0.827 0.750
Cu 0.500 0.500 0.000
Cu 0.500 0.500 0.500
Ni 0.500 0.046 0.750
Ni 0.500 0.954 0.250
O 0.293 0.182 0.992
O 0.293 0.818 0.492
O 0.707 0.182 0.508
O 0.707 0.818 0.008